Diffraction record for TlBi2Ir2. The powder diffractogram is simulated, not measured: it uses a GGA-PBE-relaxed structure and Cu Kα, 1.54184 Å.
No peak broadening, texture or thermal motion is included.

Structure:
Unit cell a=4.214 b=4.214 c=14.784 alpha=90.00 beta=90.00 gamma=90.00
Space group I4/mmm (No. 139)
Asymmetric unit:
Tl1 0.000 0.000 0.000
Bi1 0.000 0.000 0.366
Ir1 0.000 0.500 0.250

Most intense lines, 10° ≤ 2θ ≤ 90°, by intensity:
| d_spacing | I/Imax |
| --- | --- |
| 3.203 | 100 |
| 2.764 | 66 |
| 2.107 | 54 |
| 2.320 | 49 |
| 1.899 | 42 |
| 1.760 | 37 |
| 7.392 | 31 |
| 1.389 | 26 |
| 2.420 | 26 |
| 1.490 | 18 |

Diffraction record for Tc2Pt2Rh5. The powder diffractogram is simulated, not measured: it uses a GGA-PBE-relaxed structure and Cu Kα, 1.54184 Å.
No peak broadening, texture or thermal motion is included.

Structure:
Unit cell a=4.732 b=4.745 c=6.146 alpha=74.77 beta=82.47 gamma=80.37
Space group P-1 (No. 2)
Asymmetric unit:
Tc1 0.058 0.269 0.386
Pt1 0.170 0.830 0.170
Rh1 0.273 0.394 0.945
Rh2 0.387 0.940 0.712
Rh3 0.500 0.500 0.500

Most intense lines, 10° ≤ 2θ ≤ 90°, by intensity:
| d_spacing | I/Imax |
| --- | --- |
| 2.237 | 100 |
| 1.933 | 43 |
| 2.232 | 33 |
| 1.944 | 22 |
| 1.166 | 20 |
| 1.367 | 14 |
| 1.369 | 14 |
| 1.168 | 8 |
| 1.171 | 8 |
| 1.119 | 7 |

Diffraction record for Ac5RuPb4. The powder diffractogram is simulated, not measured: it uses a GGA-PBE-relaxed structure and Cu Kα, 1.54184 Å.
No peak broadening, texture or thermal motion is included.

Structure:
Unit cell a=10.647 b=10.647 c=6.463 alpha=90.00 beta=90.00 gamma=90.00
Space group I4/m (No. 87)
Asymmetric unit:
Ac1 0.000 0.000 0.000
Ac2 0.118 0.758 0.500
Ru1 0.000 0.000 0.500
Pb1 0.062 0.654 0.000

Most intense lines, 10° ≤ 2θ ≤ 90°, by intensity:
| d_spacing | I/Imax |
| --- | --- |
| 3.367 | 100 |
| 3.231 | 82 |
| 2.686 | 79 |
| 2.331 | 75 |
| 3.111 | 73 |
| 1.689 | 34 |
| 1.740 | 23 |
| 1.610 | 21 |
| 1.917 | 21 |
| 1.457 | 21 |

Diffraction record for Pm2Nd2DyY6. The powder diffractogram is simulated, not measured: it uses a GGA-PBE-relaxed structure and Cu Kα, 1.54184 Å.
No peak broadening, texture or thermal motion is included.

Structure:
Unit cell a=5.726 b=12.149 c=10.611 alpha=90.00 beta=90.00 gamma=90.00
Space group Cmmm (No. 65)
Asymmetric unit:
Pm1 0.000 0.209 0.000
Nd1 0.000 0.131 0.500
Dy1 0.000 0.500 0.000
Y1 0.000 0.000 0.202
Y2 0.000 0.349 0.297

Most intense lines, 10° ≤ 2θ ≤ 90°, by intensity:
| d_spacing | I/Imax |
| --- | --- |
| 2.806 | 100 |
| 2.921 | 65 |
| 2.863 | 41 |
| 1.642 | 26 |
| 1.504 | 22 |
| 2.044 | 20 |
| 2.653 | 18 |
| 1.487 | 17 |
| 1.946 | 15 |
| 1.740 | 13 |